No. 1
Computed powder X-ray diffraction pattern of Ca4Ga3Si for copper Kα, from DFT lattice parameters and positions (GGA-PBE).
Intensities are scaled so that the largest is 1000.

Structure:
Cell: 4.1202 4.4904 11.2189 Å, 90.00 90.00 90.00°
Space group Pmm2 (No. 25)
Asymmetric unit:
1 Ca 0.0000 0.0000 0.0000
2 Ca 0.0000 0.5000 0.4901
3 Ca 0.5000 0.0000 0.7086
4 Ca 0.5000 0.5000 0.2132
5 Ga 0.0000 0.5000 0.7813
6 Ga 0.5000 0.0000 0.4179
7 Ga 0.5000 0.5000 0.9245
8 Si 0.0000 0.0000 0.2842

Principal peaks in the range 15 to 90 degrees two-theta, sorted by position:
2θ (°), I (rel.), index
15.80, 342, 0 0 2
21.31, 295, 0 1 1
30.50, 1000, 1 1 1
31.12, 397, 0 1 3
38.18, 922, 1 1 3
38.84, 436, 1 0 4
40.16, 352, 0 2 0
43.95, 270, 2 0 0
57.11, 269, 1 2 4
61.04, 191, 2 2 0
61.43, 179, 0 1 7
78.57, 169, 2 1 7

=====

No. 2
Computed powder X-ray diffraction pattern of Ca3Ga4Si for copper Kα, from DFT lattice parameters and positions (GGA-PBE).
Intensities are scaled so that the largest is 1000.

Structure:
Cell: 4.7308 5.3015 16.6741 Å, 90.00 90.00 90.00°
Space group Immm (No. 71)
Asymmetric unit:
1 Ca 0.0000 0.0000 0.0000
2 Ca 0.0000 0.5000 0.2081
3 Ga 0.0000 0.2622 0.3765
4 Si 0.0000 0.0000 0.5000

Principal peaks in the range 15 to 90 degrees two-theta, sorted by position:
2θ (°), I (rel.), index
19.50, 1000, 1 0 1
21.32, 417, 0 0 4
24.71, 444, 1 0 3
27.44, 621, 1 1 2
32.86, 884, 1 0 5
38.04, 605, 2 0 0
39.34, 645, 1 2 1
40.32, 823, 0 2 4
42.33, 534, 1 2 3
42.49, 298, 1 0 7
43.42, 212, 0 0 8
56.64, 652, 2 2 4

=====

No. 3
Computed powder X-ray diffraction pattern of CaSmGaSi for copper Kα, from DFT lattice parameters and positions (GGA-PBE).
Intensities are scaled so that the largest is 1000.

Structure:
Cell: 4.0389 4.4455 10.9655 Å, 90.00 90.00 90.00°
Space group Amm2 (No. 38)
Asymmetric unit:
1 Ca 0.0000 0.0000 0.0000
2 Sm 0.5000 0.0000 0.2793
3 Ga 0.5000 0.0000 0.5701
4 Si 0.0000 0.0000 0.7148

Principal peaks in the range 15 to 90 degrees two-theta, sorted by position:
2θ (°), I (rel.), index
16.17, 194, 0 0 2
21.57, 348, 0 1 1
22.01, 347, 1 0 0
27.43, 218, 1 0 2
31.01, 1000, 1 1 1
31.69, 570, 0 1 3
32.67, 274, 0 0 4
38.92, 700, 1 1 3
39.74, 265, 1 0 4
40.59, 273, 0 2 0
44.88, 204, 2 0 0
55.98, 222, 2 1 3

=====

No. 4
Computed powder X-ray diffraction pattern of Ca3SmGa2 for copper Kα, from DFT lattice parameters and positions (GGA-PBE).
Intensities are scaled so that the largest is 1000.

Structure:
Cell: 5.0546 9.5166 7.1595 Å, 90.00 90.00 90.00°
Space group Pmc2_1 (No. 26)
Asymmetric unit:
1 Ca 0.0000 0.0657 0.0000
2 Ca 0.0000 0.3149 0.3653
3 Ca 0.5000 0.1761 0.6910
4 Sm 0.5000 0.4414 0.0536
5 Ga 0.0000 0.3683 0.8016
6 Ga 0.5000 0.1490 0.2487

Principal peaks in the range 15 to 90 degrees two-theta, sorted by position:
2θ (°), I (rel.), index
17.55, 159, 1 0 0
28.62, 356, 1 2 1
30.60, 338, 1 0 2
30.83, 277, 0 3 1
31.27, 241, 0 2 2
32.05, 1000, 1 1 2
33.35, 502, 1 3 0
35.52, 448, 2 0 0
35.69, 206, 1 3 1
42.39, 181, 0 2 3
43.92, 149, 1 4 1
47.73, 190, 2 3 1

=====

No. 5
Computed powder X-ray diffraction pattern of CaSmGa6 for copper Kα, from DFT lattice parameters and positions (GGA-PBE).
Intensities are scaled so that the largest is 1000.

Structure:
Cell: 4.4295 6.0500 6.1607 Å, 90.00 90.00 90.00°
Space group Pmm2 (No. 25)
Asymmetric unit:
1 Ca 0.0000 0.0000 0.0000
2 Sm 0.5000 0.5000 0.2117
3 Ga 0.0000 0.2534 0.4674
4 Ga 0.0000 0.5000 0.8537
5 Ga 0.5000 0.0000 0.3565
6 Ga 0.5000 0.2467 0.7444

Principal peaks in the range 15 to 90 degrees two-theta, sorted by position:
2θ (°), I (rel.), index
28.88, 260, 1 1 1
32.62, 112, 0 1 2
32.99, 380, 0 2 1
35.50, 587, 1 0 2
38.59, 200, 1 1 2
38.90, 1000, 1 2 1
40.74, 355, 2 0 0
46.71, 127, 0 1 3
53.38, 189, 2 2 1
61.29, 102, 0 4 0
72.90, 285, 3 2 1
76.23, 106, 2 4 0

=====

No. 6
Computed powder X-ray diffraction pattern of Ca3Sm3Ga4 for copper Kα, from DFT lattice parameters and positions (GGA-PBE).
Intensities are scaled so that the largest is 1000.

Structure:
Cell: 4.1228 11.5542 11.5707 Å, 90.00 90.00 90.00°
Space group Amm2 (No. 38)
Asymmetric unit:
1 Ca 0.0000 0.0000 0.0000
2 Ca 0.5000 0.2501 0.0777
3 Sm 0.0000 0.0000 0.6528
4 Sm 0.0000 0.1745 0.3273
5 Ga 0.5000 0.0000 0.2148
6 Ga 0.5000 0.0000 0.4497
7 Ga 0.5000 0.1211 0.8238

Principal peaks in the range 15 to 90 degrees two-theta, sorted by position:
2θ (°), I (rel.), index
15.32, 206, 0 0 2
24.35, 101, 0 3 1
30.80, 302, 1 2 2
32.74, 1000, 1 3 1
34.70, 275, 0 2 4
43.92, 132, 2 0 0
45.76, 125, 0 3 5
51.11, 135, 1 3 5
57.15, 126, 2 2 4
62.12, 88, 1 6 4
65.51, 89, 1 3 7
73.64, 93, 3 3 1